Structure and computed powder X-ray diffraction pattern of Sc9Al3N2 (a structure optimized by DFT (PBE); CuKα).
Neutral-atom scattering factors, no anomalous dispersion.

Cell and atoms:
a b c (Å): 6.267 6.267 7.685
angles (deg): 90.00 90.00 120.00
Positions (direct):
Sc: 0.000 0.500 0.000
Sc: 0.169 0.339 0.670
Sc: 0.169 0.831 0.670
Sc: 0.339 0.169 0.330
Sc: 0.500 0.000 0.000
Sc: 0.500 0.500 0.000
Sc: 0.661 0.831 0.670
Sc: 0.831 0.169 0.330
Sc: 0.831 0.661 0.330
Al: 0.000 0.000 0.000
Al: 0.333 0.667 0.335
Al: 0.667 0.333 0.665
N: 0.333 0.667 0.835
N: 0.667 0.333 0.165

Principal peaks in the range 2θ from 10° to 80°, in order of rising 2θ:
d (Å)	Rel. int.
4.433	12
2.559	100
2.217	60
1.983	4
1.567	36
1.478	1
1.337	34
1.280	11